Starting from a structure optimized by DFT (PBE+U), the powder diffraction line list of Ta2Fe4O9 was computed for Cu Kα (λ = 1.5418 Å).

Top 10 peaks for 2θ from 10° to 90°, in order of falling intensity:
2θ (°)	intensity	index
31.63	100	1 1 4
33.70	67	3 1 0
19.35	61	1 1 0
46.91	42	4 0 4
31.46	37	2 0 -4
33.92	33	0 2 0
51.43	30	0 2 6
19.23	30	2 0 0
22.98	21	1 1 -2
60.56	21	3 3 0

Structural model:
```
data_Ta2Fe4O9
_cell_length_a 9.232
_cell_length_b 5.285
_cell_length_c 14.388
_cell_angle_alpha 90.00
_cell_angle_beta 90.25
_cell_angle_gamma 90.00
_space_group_name_H-M_alt 'C 1 2/c 1'
_space_group_IT_number 15
_space_group_name_Hall '-C 2yc'
loop_
_atom_site_label
_atom_site_fract_x
_atom_site_fract_y
_atom_site_fract_z
Ta1 0.005 0.011 0.356
Fe1 0.168 0.488 0.691
Fe2 0.169 0.498 0.485
O1 0.000 0.262 0.750
O2 0.007 0.335 0.083
O3 0.140 0.163 0.249
O4 0.153 0.173 0.589
O5 0.171 0.132 0.917
```